1.
Calculated powder diffraction line list
Compound: LiMnP4O12
Radiation: Cu Kα
Structure: DFT lattice parameters and positions (GGA+U)

Most intense lines, 2θ = 15–90°, by angle:
2θ = 18.73°, I 42
2θ = 19.24°, I 36
2θ = 19.49°, I 21
2θ = 20.35°, I 16
2θ = 25.13°, I 38
2θ = 26.76°, I 17
2θ = 27.10°, I 24
2θ = 27.60°, I 14
2θ = 28.83°, I 100
2θ = 30.94°, I 23
2θ = 34.18°, I 19
2θ = 41.94°, I 17

Crystal structure
Lattice parameters (Å, degrees): 7.233 7.233 10.193 111.37 111.37 71.47
Fractional positions:
Li  0.026  0.974  0.750
Li  0.974  0.026  0.250
Mn  0.000  0.500  0.500
Mn  0.500  0.000  0.000
P  0.260  0.728  0.029
P  0.272  0.740  0.471
P  0.303  0.318  0.811
P  0.318  0.303  0.311
P  0.682  0.697  0.689
P  0.697  0.682  0.189
P  0.728  0.260  0.529
P  0.740  0.272  0.971
O  0.094  0.846  0.095
O  0.128  0.304  0.344
O  0.154  0.906  0.405
O  0.191  0.334  0.660
O  0.191  0.678  0.566
O  0.212  0.508  0.930
O  0.304  0.128  0.844
O  0.322  0.809  0.934
O  0.334  0.191  0.160
O  0.334  0.534  0.346
O  0.466  0.666  0.154
O  0.492  0.788  0.570
O  0.508  0.212  0.430
O  0.534  0.334  0.846
O  0.666  0.466  0.654
O  0.666  0.809  0.840
O  0.678  0.191  0.066
O  0.696  0.872  0.156
O  0.788  0.492  0.070
O  0.809  0.322  0.434
O  0.809  0.666  0.340
O  0.846  0.094  0.595
O  0.872  0.696  0.656
O  0.906  0.154  0.905


2.
Calculated powder diffraction line list
Compound: P2WO8
Radiation: Cu Kα
Structure: DFT lattice parameters and positions (GGA+U)

Most intense lines, 2θ = 15–90°, by angle:
2θ = 16.84°, I 83
2θ = 19.91°, I 47
2θ = 20.54°, I 58
2θ = 20.99°, I 100
2θ = 21.48°, I 91
2θ = 22.12°, I 87
2θ = 26.72°, I 61
2θ = 30.21°, I 52
2θ = 32.06°, I 80
2θ = 34.19°, I 40
2θ = 44.12°, I 30
2θ = 67.25°, I 33

Crystal structure
Lattice parameters (Å, degrees): 16.932 5.246 6.725 90.00 90.00 90.00
Fractional positions:
P  0.078  0.250  0.095
P  0.168  0.250  0.710
P  0.332  0.750  0.210
P  0.422  0.750  0.595
P  0.578  0.250  0.405
P  0.668  0.250  0.790
P  0.832  0.750  0.290
P  0.922  0.750  0.905
W  0.129  0.750  0.378
W  0.371  0.250  0.878
W  0.629  0.750  0.122
W  0.871  0.250  0.622
O  0.007  0.750  0.864
O  0.029  0.750  0.425
O  0.096  0.250  0.860
O  0.128  0.016  0.174
O  0.128  0.484  0.174
O  0.158  0.012  0.579
O  0.158  0.488  0.579
O  0.245  0.250  0.822
O  0.255  0.750  0.322
O  0.342  0.512  0.079
O  0.342  0.988  0.079
O  0.372  0.516  0.674
O  0.372  0.984  0.674
O  0.404  0.750  0.360
O  0.471  0.250  0.925
O  0.493  0.250  0.364
O  0.507  0.750  0.636
O  0.529  0.750  0.075
O  0.596  0.250  0.640
O  0.628  0.016  0.326
O  0.628  0.484  0.326
O  0.658  0.012  0.921
O  0.658  0.488  0.921
O  0.745  0.250  0.678
O  0.755  0.750  0.178
O  0.842  0.512  0.421
O  0.842  0.988  0.421
O  0.872  0.516  0.826
O  0.872  0.984  0.826
O  0.904  0.750  0.140
O  0.971  0.250  0.575
O  0.993  0.250  0.136


3.
Calculated powder diffraction line list
Compound: KMnO2
Radiation: Cu Kα
Structure: DFT lattice parameters and positions (GGA+U)

Most intense lines, 2θ = 15–90°, by angle:
2θ = 15.87°, I 67
2θ = 25.86°, I 18
2θ = 28.95°, I 100
2θ = 30.62°, I 51
2θ = 31.63°, I 23
2θ = 35.58°, I 15
2θ = 36.47°, I 84
2θ = 38.52°, I 17
2θ = 39.03°, I 25
2θ = 42.52°, I 21
2θ = 43.94°, I 47
2θ = 57.72°, I 26

Crystal structure
Lattice parameters (Å, degrees): 6.311 11.553 10.373 90.00 94.81 90.00
Fractional positions:
K  0.066  0.104  0.118
K  0.066  0.396  0.118
K  0.075  0.750  0.176
K  0.170  0.250  0.425
K  0.190  0.541  0.415
K  0.190  0.959  0.415
K  0.810  0.041  0.585
K  0.810  0.459  0.585
K  0.830  0.750  0.575
K  0.925  0.250  0.824
K  0.934  0.604  0.882
K  0.934  0.896  0.882
Mn  0.357  0.750  0.720
Mn  0.363  0.501  0.730
Mn  0.363  0.999  0.730
Mn  0.379  0.250  0.728
Mn  0.484  0.625  0.012
Mn  0.484  0.875  0.012
Mn  0.516  0.125  0.988
Mn  0.516  0.375  0.988
Mn  0.621  0.750  0.272
Mn  0.637  0.001  0.270
Mn  0.637  0.499  0.270
Mn  0.643  0.250  0.280
O  0.162  0.621  0.669
O  0.162  0.879  0.669
O  0.192  0.128  0.658
O  0.192  0.372  0.658
O  0.294  0.750  0.946
O  0.308  0.002  0.941
O  0.308  0.498  0.941
O  0.315  0.250  0.944
O  0.423  0.622  0.229
O  0.423  0.878  0.229
O  0.432  0.126  0.269
O  0.432  0.374  0.269
O  0.568  0.626  0.731
O  0.568  0.874  0.731
O  0.577  0.122  0.771
O  0.577  0.378  0.771
O  0.685  0.750  0.056
O  0.692  0.502  0.059
O  0.692  0.998  0.059
O  0.706  0.250  0.054
O  0.808  0.628  0.342
O  0.808  0.872  0.342
O  0.838  0.121  0.331
O  0.838  0.379  0.331


Which formula does entry 3 have?
KMnO2